This entry pairs a crystal structure of Tb4Te3Au with its calculated X-ray diffraction stick pattern. Radiation: Cu Kα (λ = 1.5418 Å). Structure: DFT lattice parameters and positions (GGA-PBE).
No peak broadening, texture or thermal motion is included.

Largest 10 diffraction maxima, in order of rising 2θ, 2θ from 10° to 80°:
- 2θ = 28.9°, intensity 51.1
- 2θ = 29.1°, intensity 100.0
- 2θ = 40.4°, intensity 19.5
- 2θ = 41.5°, intensity 75.9
- 2θ = 42.8°, intensity 18.0
- 2θ = 50.5°, intensity 20.3
- 2θ = 52.5°, intensity 19.6
- 2θ = 68.0°, intensity 16.9
- 2θ = 68.3°, intensity 16.4
- 2θ = 77.5°, intensity 12.4

Unit cell a=7.613 b=7.613 c=4.224 alpha=90.00 beta=90.00 gamma=108.27
Element x y z (fractional)
Tb1 0.228 0.228 0.500
Tb2 0.241 0.759 0.000
Tb3 0.759 0.241 0.000
Tb4 0.772 0.772 0.500
Te1 0.000 0.500 0.500
Te2 0.500 0.000 0.500
Te3 0.500 0.500 0.000
Au1 0.000 0.000 0.000

=====

This entry pairs a crystal structure of Tb3Te2Au with its calculated X-ray diffraction stick pattern. Radiation: Cu Kα (λ = 1.5418 Å). Structure: DFT lattice parameters and positions (GGA-PBE).
No peak broadening, texture or thermal motion is included.

Largest 10 diffraction maxima, in order of rising 2θ, 2θ from 10° to 80°:
- 2θ = 29.1°, intensity 100.0
- 2θ = 41.2°, intensity 12.6
- 2θ = 41.6°, intensity 49.8
- 2θ = 42.1°, intensity 12.7
- 2θ = 51.2°, intensity 13.1
- 2θ = 52.0°, intensity 12.9
- 2θ = 60.4°, intensity 11.9
- 2θ = 68.4°, intensity 21.4
- 2θ = 75.4°, intensity 7.6
- 2θ = 76.6°, intensity 7.7

Unit cell a=14.268 b=13.607 c=7.538 alpha=79.22 beta=69.52 gamma=31.26
Element x y z (fractional)
Tb1 0.038 0.538 0.193
Tb2 0.104 0.646 0.646
Tb3 0.193 0.731 0.038
Tb4 0.269 0.807 0.462
Tb5 0.354 0.896 0.896
Tb6 0.462 0.962 0.269
Tb7 0.538 0.038 0.731
Tb8 0.646 0.104 0.104
Tb9 0.731 0.193 0.538
Tb10 0.807 0.269 0.962
Tb11 0.896 0.354 0.354
Tb12 0.962 0.462 0.807
Te1 0.128 0.128 0.622
Te2 0.295 0.295 0.455
Te3 0.378 0.378 0.872
Te4 0.455 0.455 0.295
Te5 0.545 0.545 0.705
Te6 0.622 0.622 0.128
Te7 0.705 0.705 0.545
Te8 0.872 0.872 0.378
Au1 0.041 0.041 0.209
Au2 0.209 0.209 0.041
Au3 0.791 0.791 0.959
Au4 0.959 0.959 0.791

=====

This entry pairs a crystal structure of Tb2ThAu3 with its calculated X-ray diffraction stick pattern. Radiation: Cu Kα (λ = 1.5418 Å). Structure: DFT lattice parameters and positions (GGA-PBE).
No peak broadening, texture or thermal motion is included.

Largest 10 diffraction maxima, in order of rising 2θ, 2θ from 10° to 80°:
- 2θ = 34.2°, intensity 26.1
- 2θ = 34.4°, intensity 26.1
- 2θ = 35.0°, intensity 100.0
- 2θ = 49.3°, intensity 18.9
- 2θ = 51.2°, intensity 9.4
- 2θ = 61.7°, intensity 19.0
- 2θ = 62.0°, intensity 19.4
- 2θ = 63.0°, intensity 9.1
- 2θ = 63.2°, intensity 9.2
- 2θ = 73.8°, intensity 11.9

Unit cell a=8.284 b=8.284 c=3.568 alpha=90.00 beta=90.00 gamma=143.34
Element x y z (fractional)
Tb1 0.168 0.832 0.000
Tb2 0.832 0.168 0.000
Th1 0.500 0.500 0.000
Au1 0.000 0.000 0.500
Au2 0.328 0.672 0.500
Au3 0.672 0.328 0.500

=====

This entry pairs a crystal structure of TbTh3Au7 with its calculated X-ray diffraction stick pattern. Radiation: Cu Kα (λ = 1.5418 Å). Structure: DFT lattice parameters and positions (GGA-PBE).
No peak broadening, texture or thermal motion is included.

Largest 10 diffraction maxima, in order of rising 2θ, 2θ from 10° to 80°:
- 2θ = 29.6°, intensity 24.8
- 2θ = 31.4°, intensity 100.0
- 2θ = 33.6°, intensity 29.0
- 2θ = 34.0°, intensity 59.1
- 2θ = 36.6°, intensity 25.2
- 2θ = 39.1°, intensity 23.3
- 2θ = 39.7°, intensity 25.7
- 2θ = 42.8°, intensity 30.3
- 2θ = 43.0°, intensity 29.4
- 2θ = 47.1°, intensity 33.9

Unit cell a=11.087 b=11.087 c=12.889 alpha=90.00 beta=90.00 gamma=159.94
Element x y z (fractional)
Tb1 0.015 0.985 0.750
Tb2 0.985 0.015 0.250
Th1 0.136 0.864 0.056
Th2 0.136 0.864 0.444
Th3 0.217 0.783 0.750
Th4 0.783 0.217 0.250
Th5 0.864 0.136 0.556
Th6 0.864 0.136 0.944
Au1 0.275 0.725 0.070
Au2 0.275 0.725 0.430
Au3 0.371 0.629 0.750
Au4 0.397 0.603 0.138
Au5 0.397 0.603 0.362
Au6 0.469 0.531 0.590
Au7 0.469 0.531 0.910
Au8 0.531 0.469 0.090
Au9 0.531 0.469 0.410
Au10 0.603 0.397 0.638
Au11 0.603 0.397 0.862
Au12 0.629 0.371 0.250
Au13 0.725 0.275 0.570
Au14 0.725 0.275 0.930